Theoretical powder X-ray diffraction pattern
Compound: Mg6Pd10Pt
Radiation: a wavelength of 1.5418 Å
Structure: a cell relaxed with PBE
No peak broadening, texture or thermal motion is included.

Main lines, sorted by position (15 to 90 degrees two-theta):
d_spacing	2θ/deg	I (rel.)
4.207	21.12	14
3.124	28.57	57
2.824	31.68	11
2.269	39.73	14
2.219	40.66	100
2.200	41.03	89
1.562	59.14	31
1.285	73.74	15
1.274	74.49	29
1.270	74.74	13

```
Mg6Pd10Pt
1.0
7.620 0.000 0.000
-3.810 6.599 0.000
0.000 0.000 5.459
Mg Pd Pt
6 10 1
Direct
0.000 0.348 0.310
0.000 0.652 0.690
0.348 0.000 0.310
0.348 0.348 0.690
0.652 0.000 0.690
0.652 0.652 0.310
0.000 0.310 0.820
0.000 0.690 0.180
0.310 0.000 0.820
0.310 0.310 0.180
0.333 0.667 0.000
0.333 0.667 0.500
0.667 0.333 0.000
0.667 0.333 0.500
0.690 0.000 0.180
0.690 0.690 0.820
0.000 0.000 0.500
```

***

Theoretical powder X-ray diffraction pattern
Compound: MgPd3Pt2
Radiation: a wavelength of 1.5418 Å
Structure: a cell relaxed with PBE
No peak broadening, texture or thermal motion is included.

Main lines, sorted by position (15 to 90 degrees two-theta):
d_spacing	2θ/deg	I (rel.)
5.076	17.47	11
2.292	39.32	100
2.269	39.72	32
1.983	45.76	43
1.974	45.99	21
1.404	66.60	14
1.393	67.19	14
1.199	80.03	8
1.196	80.28	21
1.146	84.57	11

```
MgPd3Pt2
1.0
5.589 0.000 0.000
0.000 2.813 0.000
-0.130 0.000 11.841
Mg Pd Pt
2 6 4
Direct
0.127 0.250 0.250
0.873 0.750 0.750
0.124 0.250 0.918
0.368 0.750 0.749
0.375 0.750 0.413
0.625 0.250 0.587
0.632 0.250 0.251
0.876 0.750 0.082
0.123 0.250 0.583
0.375 0.750 0.089
0.625 0.250 0.911
0.877 0.750 0.417
```

***

Theoretical powder X-ray diffraction pattern
Compound: Pu2MgPd9
Radiation: a wavelength of 1.5418 Å
Structure: a cell relaxed with PBE
No peak broadening, texture or thermal motion is included.

Main lines, sorted by position (15 to 90 degrees two-theta):
d_spacing	2θ/deg	I (rel.)
3.896	22.83	6
3.405	26.17	7
2.361	38.11	100
2.057	44.03	34
2.022	44.82	15
1.454	64.02	11
1.442	64.63	21
1.238	77.01	25
1.223	78.14	11
1.181	81.53	11

```
Pu2MgPd9
1.0
4.113 0.000 0.000
0.000 4.113 0.000
0.000 0.000 12.134
Pu Mg Pd
2 1 9
Direct
0.000 0.000 0.174
0.000 0.000 0.826
0.000 0.000 0.500
0.000 0.500 0.000
0.000 0.500 0.340
0.000 0.500 0.660
0.500 0.000 0.000
0.500 0.000 0.340
0.500 0.000 0.660
0.500 0.500 0.170
0.500 0.500 0.500
0.500 0.500 0.830
```

***

Theoretical powder X-ray diffraction pattern
Compound: Pu2MgPd5
Radiation: a wavelength of 1.5418 Å
Structure: a cell relaxed with PBE
No peak broadening, texture or thermal motion is included.

Main lines, sorted by position (15 to 90 degrees two-theta):
d_spacing	2θ/deg	I (rel.)
4.520	19.64	50
2.851	31.38	43
2.455	36.61	100
2.370	37.96	95
2.260	39.89	81
1.837	49.62	20
1.702	53.86	13
1.425	65.48	33
1.354	69.41	24
1.311	72.03	25

```
Pu2MgPd5
1.0
-3.102 3.299 3.674
3.102 -3.299 3.674
3.102 3.299 -3.674
Pu Mg Pd
2 1 5
Direct
0.000 0.000 0.000
0.482 0.482 0.000
0.085 0.585 0.500
0.463 0.963 0.500
0.533 0.019 0.056
0.533 0.477 0.514
0.963 0.019 0.486
0.963 0.477 0.944
```

***

Theoretical powder X-ray diffraction pattern
Compound: MgPd6Rh
Radiation: a wavelength of 1.5418 Å
Structure: a cell relaxed with PBE
No peak broadening, texture or thermal motion is included.

Main lines, sorted by position (15 to 90 degrees two-theta):
d_spacing	2θ/deg	I (rel.)
3.936	22.59	3
3.525	25.26	3
2.278	39.57	100
1.981	45.80	16
1.968	46.12	32
1.396	67.03	20
1.392	67.28	10
1.193	80.49	12
1.188	80.96	24
1.139	85.21	11

```
MgPd6Rh
1.0
3.936 0.000 0.000
0.000 3.936 0.000
0.000 0.000 7.925
Mg Pd Rh
1 6 1
Direct
0.000 0.000 0.000
0.000 0.500 0.253
0.000 0.500 0.747
0.500 0.000 0.253
0.500 0.000 0.747
0.500 0.500 0.000
0.500 0.500 0.500
0.000 0.000 0.500
```

***

Theoretical powder X-ray diffraction pattern
Compound: Mg5Pd6Rh
Radiation: a wavelength of 1.5418 Å
Structure: a cell relaxed with PBE
No peak broadening, texture or thermal motion is included.

Main lines, sorted by position (15 to 90 degrees two-theta):
d_spacing	2θ/deg	I (rel.)
3.555	25.05	18
2.982	29.97	25
2.285	39.44	100
2.119	42.68	21
2.098	43.11	19
1.778	51.40	11
1.491	62.28	13
1.253	75.96	14
1.244	76.57	13
1.142	84.89	9

```
Mg5Pd6Rh
1.0
-2.119 3.555 6.294
2.119 -3.555 6.294
2.119 3.555 -6.294
Mg Pd Rh
5 6 1
Direct
0.000 0.000 0.000
0.174 0.674 0.500
0.352 0.352 0.000
0.648 0.648 0.000
0.826 0.326 0.500
0.072 0.832 0.240
0.230 0.500 0.730
0.407 0.168 0.240
0.593 0.832 0.760
0.770 0.500 0.270
0.928 0.168 0.760
0.500 0.000 0.500
```

***

Theoretical powder X-ray diffraction pattern
Compound: Mg6PdRh2
Radiation: a wavelength of 1.5418 Å
Structure: a cell relaxed with PBE
No peak broadening, texture or thermal motion is included.

Main lines, sorted by position (15 to 90 degrees two-theta):
d_spacing	2θ/deg	I (rel.)
3.777	23.56	15
3.526	25.26	43
2.986	29.93	23
2.857	31.31	24
2.366	38.03	100
2.279	39.55	37
2.185	41.33	28
1.990	45.57	21
1.471	63.19	16
1.294	73.16	14

```
Mg6PdRh2
1.0
8.445 0.000 0.000
0.000 8.445 0.000
0.000 0.000 4.369
Mg Pd Rh
12 2 4
Direct
0.031 0.313 0.000
0.127 0.873 0.500
0.187 0.531 0.500
0.313 0.031 0.000
0.373 0.373 0.000
0.469 0.813 0.500
0.531 0.187 0.500
0.627 0.627 0.000
0.687 0.969 0.000
0.813 0.469 0.500
0.873 0.127 0.500
0.969 0.687 0.000
0.000 0.000 0.000
0.500 0.500 0.500
0.205 0.205 0.500
0.295 0.705 0.000
0.705 0.295 0.000
0.795 0.795 0.500
```

***

Theoretical powder X-ray diffraction pattern
Compound: Mg2Sc5PdRh2
Radiation: a wavelength of 1.5418 Å
Structure: a cell relaxed with PBE
No peak broadening, texture or thermal motion is included.

Main lines, sorted by position (15 to 90 degrees two-theta):
d_spacing	2θ/deg	I (rel.)
5.541	15.99	13
4.956	17.90	68
3.504	25.42	22
2.559	35.07	15
2.478	36.25	19
2.433	36.95	100
2.274	39.64	33
1.959	46.35	13
1.695	54.11	11
1.690	54.29	11

```
Mg2Sc5PdRh2
1.0
11.082 0.000 0.000
0.000 11.082 0.000
0.000 0.000 3.379
Mg Sc Pd Rh
4 10 2 4
Direct
0.176 0.324 0.000
0.324 0.824 0.000
0.676 0.176 0.000
0.824 0.676 0.000
0.000 0.500 0.500
0.068 0.801 0.500
0.199 0.068 0.500
0.301 0.568 0.500
0.432 0.301 0.500
0.500 0.000 0.500
0.568 0.699 0.500
0.699 0.432 0.500
0.801 0.932 0.500
0.932 0.199 0.500
0.000 0.000 0.000
0.500 0.500 0.000
0.133 0.633 0.000
0.367 0.133 0.000
0.633 0.867 0.000
0.867 0.367 0.000
```